This entry pairs a crystal structure of Li2TiB2O6 with its calculated powder diffraction line list. Radiation: Cu Kα, 1.54184 Å. Structure: a DFT-relaxed cell (PBE, the Materials Project).
Neutral-atom scattering factors, no anomalous dispersion.

Principal peaks in the range 5 to 70 degrees two-theta, in order of falling intensity:
19.9 deg, I = 100, (0 2 0); 19.0 deg, I = 58, (1 0 0); 34.8 deg, I = 47, (1 3 -1); 34.9 deg, I = 42, (0 0 4); 26.1 deg, I = 20, (1 1 1); 26.8 deg, I = 18, (1 1 -3); 31.4 deg, I = 10, (0 3 1); 49.3 deg, I = 10, (1 1 -6)

Structure:
Unit cell a=5.1584 b=8.9089 c=11.3725 alpha=90.00 beta=115.37 gamma=90.00
Space group P2_1/c (No. 14)
Inequivalent atoms, fractional coordinates:
Li (0.0496, 0.1646, 0.3656) [4 per cell]
Li (0.4272, 0.5133, 0.0976) [4 per cell]
Ti (0.4835, 0.1744, 0.1318) [4 per cell]
B (0.0473, 0.6635, 0.8763) [4 per cell]
B (0.4672, 0.6674, 0.6246) [4 per cell]
O (0.1286, 0.7035, 0.3338) [4 per cell]
O (0.2070, 0.5378, 0.9034) [4 per cell]
O (0.2085, 0.1718, 0.6082) [4 per cell]
O (0.3742, 0.1881, 0.9462) [4 per cell]
O (0.3773, 0.7094, 0.1712) [4 per cell]
O (0.4032, 0.5228, 0.6498) [4 per cell]